Computed powder X-ray diffraction pattern
Compound: CaPr2CuO5
Radiation: copper Kα
Structure: a cell relaxed with GGA-PBE

Largest 6 diffraction maxima, low angle first, 10 to 90 degrees two-theta:
Position (°2θ)  I (rel.)  index
15.3  61  0 0 1
29.8  37  2 1 0
30.8  87  2 0 1
30.9  41  0 0 2
33.7  100  2 1 1
43.5  70  2 1 2

Structure:
```
data_CaPr2CuO5
_symmetry_space_group_name_H-M 'P 4/m b m'
_symmetry_Int_Tables_number 127
_symmetry_space_group_name_Hall '-P 4 2ab'
_cell_length_a 6.7015
_cell_length_b 6.7015
_cell_length_c 5.7790
_cell_angle_alpha 90.00
_cell_angle_beta 90.00
_cell_angle_gamma 90.00
loop_
_atom_site_label
_atom_site_fract_x
_atom_site_fract_y
_atom_site_fract_z
Ca1 0.0000 0.0000 0.0000
Pr1 0.1715 0.3285 0.5000
Cu1 0.0000 0.5000 0.0000
O1 0.0000 0.0000 0.5000
O2 0.1440 0.6440 0.2349
```